Starting from a crystal structure in Alexandria, relaxed with PBE+U, the X-ray powder pattern of Li6Cr2O7 was computed for Cu Kα X-rays.

Atomic structure:
Cell: 9.934 5.735 9.639 Å, 90.00 101.25 90.00°
Space group C2/c (No. 15)
One atom of each set of equivalent atoms:
Li  0.067  0.147  0.101
Li  0.071  0.402  0.615
Li  0.204  0.127  0.883
Cr  0.186  0.378  0.370
O  0.000  0.351  0.250
O  0.124  0.387  0.971
O  0.137  0.135  0.505
O  0.245  0.122  0.252

Principal peaks in the range 2θ = 10–80°, sorted by position:
(hkl)  2θ/deg  I (rel.)
1 1 0  17.9  39
2 0 0  18.2  83
1 1 -1  19.4  100
1 1 -2  24.7  58
1 1 2  27.4  26
2 0 2  28.8  29
2 2 -3  44.3  99
4 0 2  45.1  47
2 2 5  65.0  25
6 2 -1  65.1  38



Starting from a crystal structure in Alexandria, relaxed with PBE+U, the X-ray powder pattern of Li2Cr2O7 was computed for Cu Kα X-rays.

Atomic structure:
Cell: 7.695 8.381 10.173 Å, 90.00 112.09 90.00°
Space group C2/c (No. 15)
One atom of each set of equivalent atoms:
Li  0.167  0.078  0.475
Cr  0.227  0.271  0.789
O  0.000  0.353  0.750
O  0.117  0.102  0.110
O  0.241  0.259  0.361
O  0.244  0.104  0.872

Principal peaks in the range 2θ = 10–80°, sorted by position:
(hkl)  2θ/deg  I (rel.)
1 1 -1  16.3  32
0 0 2  18.8  64
0 2 0  21.2  63
0 2 1  23.2  12
2 0 0  25.0  96
0 2 2  28.5  100
2 2 0  33.0  51
2 0 2  36.9  16
2 2 -3  37.1  12
2 2 2  42.9  17



Starting from a crystal structure in Alexandria, relaxed with PBE+U, the X-ray powder pattern of Li2CrO3 was computed for Cu Kα X-rays.

Atomic structure:
Cell: 5.009 4.953 8.385 Å, 90.00 90.00 90.00°
Space group Pnna (No. 52)
One atom of each set of equivalent atoms:
Li  0.250  0.000  0.075
Li  0.250  0.000  0.763
Cr  0.250  0.000  0.413
O  0.083  0.218  0.572
O  0.110  0.250  0.250

Principal peaks in the range 2θ = 10–80°, sorted by position:
(hkl)  2θ/deg  I (rel.)
1 0 1  20.7  38
0 1 1  20.8  100
0 0 2  21.2  15
1 1 2  33.2  46
2 1 0  40.4  14
1 1 3  41.2  21
2 1 1  41.8  19
2 2 0  51.9  22
1 2 3  52.7  48
3 0 3  65.1  17



Starting from a crystal structure in Alexandria, relaxed with PBE+U, the X-ray powder pattern of Li15Cr2O12 was computed for Cu Kα X-rays.

Atomic structure:
Cell: 5.284 6.020 8.160 Å, 86.20 89.73 88.26°
Space group P1 (No. 1)
One atom of each set of equivalent atoms:
Li  0.000  0.000  0.000
Li  0.006  0.471  0.696
Li  0.046  0.735  0.340
Li  0.145  0.328  0.416
Li  0.300  0.286  0.109
Li  0.336  0.697  0.862
Li  0.375  0.967  0.426
Li  0.471  0.586  0.551
Li  0.481  0.846  0.112
Li  0.545  0.300  0.864
Li  0.675  0.937  0.826
Li  0.699  0.223  0.561
Li  0.822  0.080  0.282
Li  0.823  0.802  0.586
Li  0.883  0.597  0.994
Cr  0.179  0.052  0.714
Cr  0.663  0.503  0.253
O  0.023  0.028  0.486
O  0.331  0.326  0.655
O  0.347  0.039  0.942
O  0.404  0.681  0.322
O  0.466  0.867  0.650
O  0.504  0.237  0.316
O  0.519  0.523  0.030
O  0.827  0.524  0.473
O  0.832  0.813  0.163
O  0.876  0.196  0.793
O  0.950  0.368  0.183
O  0.998  0.761  0.796

Principal peaks in the range 2θ = 10–80°, sorted by position:
(hkl)  2θ/deg  I (rel.)
0 1 1  17.8  85
0 1 -1  18.9  55
1 0 -1  20.0  100
0 0 2  21.8  35
1 1 0  22.1  36
1 -1 0  22.8  39
1 2 -1  36.3  36
1 0 3  37.2  41
-2 1 1  39.0  26
-2 2 2  51.0  23



Starting from a crystal structure in Alexandria, relaxed with PBE+U, the X-ray powder pattern of Li2Cr2O7 was computed for Cu Kα X-rays.

Atomic structure:
Cell: 6.193 7.543 7.840 Å, 76.67 67.74 80.85°
Space group P-1 (No. 2)
One atom of each set of equivalent atoms:
Li  0.080  0.149  0.353
Li  0.338  0.333  0.575
Cr  0.224  0.701  0.267
Cr  0.359  0.861  0.799
O  0.012  0.580  0.300
O  0.113  0.878  0.371
O  0.149  0.777  0.773
O  0.318  0.082  0.768
O  0.373  0.774  0.026
O  0.385  0.199  0.356
O  0.408  0.577  0.361

Principal peaks in the range 2θ = 10–80°, sorted by position:
(hkl)  2θ/deg  I (rel.)
1 1 1  17.9  74
1 1 0  18.9  45
1 -1 0  20.5  100
0 2 0  24.3  46
0 0 2  25.0  75
0 2 1  25.2  51
-1 1 1  25.7  27
1 2 1  26.1  27
1 1 -1  26.7  25
1 -1 2  29.8  89



Starting from a crystal structure in Alexandria, relaxed with PBE+U, the X-ray powder pattern of Li3CrO4 was computed for Cu Kα X-rays.

Atomic structure:
Cell: 5.154 5.790 5.010 Å, 90.00 111.05 90.00°
Space group Pc (No. 7)
One atom of each set of equivalent atoms:
Li  0.000  0.119  0.000
Li  0.466  0.129  0.510
Li  0.981  0.378  0.521
Cr  0.499  0.348  0.022
O  0.249  0.148  0.776
O  0.273  0.390  0.234
O  0.699  0.391  0.752
O  0.731  0.146  0.223

Principal peaks in the range 2θ = 10–80°, sorted by position:
(hkl)  2θ/deg  I (rel.)
0 1 0  15.3  50
1 0 0  18.4  100
1 1 0  24.1  33
0 1 1  24.5  62
1 1 -1  26.3  53
0 2 1  36.5  17
2 0 -2  43.2  46
1 2 1  44.4  84
3 2 -1  62.9  21
1 2 -3  64.4  29



Question: What is the formula in the sixth record?
Answer: Li3CrO4